No. 1
For Li2MnCoO4, the PBE+U geometry in the Materials Project gives the theoretical X-ray powder pattern in this record (Cu Kα).

Main lines, by intensity (2θ = 5–70°):
hkl, two_theta, d/Å, Rel. int.
1 0 1, 23.7, 3.754, 100.0
2 0 0, 43.2, 2.095, 50.7
2 0 4, 62.4, 1.488, 26.2
0 0 4, 42.8, 2.115, 23.9
2 1 1, 49.9, 1.829, 23.5
1 1 2, 37.1, 2.426, 18.4
2 2 0, 62.7, 1.481, 14.0
1 0 3, 38.5, 2.339, 13.5

```
data_Li2MnCoO4
_cell_length_a 4.1892
_cell_length_b 4.1892
_cell_length_c 8.4590
_cell_angle_alpha 90.00
_cell_angle_beta 90.00
_cell_angle_gamma 90.00
_space_group_name_H-M_alt 'I -4 m 2'
_space_group_IT_number 119
_space_group_name_Hall 'I -4 -2'
loop_
_atom_site_label
_atom_site_type_symbol
_atom_site_fract_x
_atom_site_fract_y
_atom_site_fract_z
Li1 Li 0.0000 0.0000 0.0000
Li2 Li 0.0000 0.5000 0.2500
Mn1 Mn 0.0000 0.0000 0.5000
Co1 Co 0.0000 0.5000 0.7500
O1 O 0.0000 0.0000 0.2719
O2 O 0.0000 0.5000 0.5203
```


No. 2
For Li7Mn2Co3O12, the PBE+U geometry in the Materials Project gives the theoretical X-ray powder pattern in this record (Cu Kα).

Main lines, by intensity (2θ = 5–70°):
hkl, two_theta, d/Å, Rel. int.
0 0 3, 18.5, 4.803, 100.0
1 1 4, 44.3, 2.043, 55.0
2 0 -4, 41.9, 2.158, 31.8
1 1 1, 36.4, 2.468, 24.0
0 0 1, 6.1, 14.409, 24.0
2 0 -1, 34.6, 2.593, 17.6
1 1 -8, 62.9, 1.477, 15.9
3 1 0, 62.3, 1.490, 15.7

```
data_Li7Mn2Co3O12
_cell_length_a 5.2382
_cell_length_b 2.8647
_cell_length_c 14.4199
_cell_angle_alpha 90.00
_cell_angle_beta 92.23
_cell_angle_gamma 90.00
_space_group_name_H-M_alt 'P 1 2/m 1'
_space_group_IT_number 10
loop_
_space_group_symop_operation_xyz
'x,y,z'
'-x,-y,-z'
'-x,y,-z'
'x,-y,z'
loop_
_atom_site_label
_atom_site_type_symbol
_atom_site_fract_x
_atom_site_fract_y
_atom_site_fract_z
Li1 Li 0.0000 0.0000 0.0000
Li2 Li 0.0000 0.0000 0.5000
Li3 Li 0.1599 0.5000 0.3404
Li4 Li 0.3438 0.0000 0.6561
Li5 Li 0.5000 0.5000 0.0000
Mn1 Mn 0.1693 0.5000 0.8301
Co1 Co 0.3294 0.0000 0.1676
Co2 Co 0.5000 0.5000 0.5000
O1 O 0.0217 0.0000 0.7520
O2 O 0.1863 0.5000 0.0920
O3 O 0.2214 0.5000 0.5700
O4 O 0.3130 0.0000 0.9099
O5 O 0.3477 0.0000 0.4249
O6 O 0.4730 0.5000 0.2417
```


No. 3
For Li5MnCo2O8, the PBE+U geometry in the Materials Project gives the theoretical X-ray powder pattern in this record (Cu Kα).

Main lines, by intensity (2θ = 5–70°):
hkl, two_theta, d/Å, Rel. int.
2 0 -2, 18.5, 4.807, 100.0
1 1 -3, 43.1, 2.101, 66.2
1 1 1, 35.7, 2.512, 27.9
6 0 -2, 45.1, 2.008, 27.4
0 0 1, 11.4, 7.737, 23.1
5 1 1, 64.2, 1.450, 16.3
7 1 -5, 64.1, 1.453, 15.7
2 0 -1, 14.3, 6.212, 15.6

```
data_Li5MnCo2O8
_cell_length_a 12.4259
_cell_length_b 2.9507
_cell_length_c 9.8463
_cell_angle_alpha 90.00
_cell_angle_beta 128.21
_cell_angle_gamma 90.00
_space_group_name_H-M_alt 'C 1 m 1'
_space_group_IT_number 8
loop_
_space_group_symop_operation_xyz
'x,y,z'
'x,-y,z'
'x+1/2,y+1/2,z'
'x+1/2,-y+1/2,z'
loop_
_atom_site_label
_atom_site_type_symbol
_atom_site_fract_x
_atom_site_fract_y
_atom_site_fract_z
Li1 Li 0.0000 0.0000 0.0000
Li2 Li 0.0029 0.5000 0.5105
Li3 Li 0.2528 0.5000 0.2660
Li4 Li 0.2636 0.0000 0.7617
Li5 Li 0.3803 0.5000 0.6439
Mn1 Mn 0.1227 0.5000 0.8795
Co1 Co 0.1392 0.0000 0.3991
Co2 Co 0.3853 0.0000 0.1357
O1 O 0.0645 0.5000 0.2066
O2 O 0.0764 0.0000 0.7226
O3 O 0.1851 0.5000 0.5586
O4 O 0.1926 0.0000 0.0554
O5 O 0.2970 0.0000 0.4382
O6 O 0.3147 0.5000 0.9571
O7 O 0.4520 0.5000 0.3222
O8 O 0.4544 0.0000 0.8295
```


No. 4
For LiMnCo3O8, the PBE+U geometry in the Materials Project gives the theoretical X-ray powder pattern in this record (Cu Kα).

Main lines, by intensity (2θ = 5–70°):
hkl, two_theta, d/Å, Rel. int.
0 0 1, 17.7, 5.005, 100.0
2 2 -2, 44.1, 2.055, 28.0
2 2 -1, 37.1, 2.426, 27.0
4 0 0, 44.0, 2.060, 14.1
4 0 -4, 62.2, 1.492, 10.5
2 2 -3, 57.0, 1.615, 9.6
6 2 -1, 68.7, 1.366, 7.6
6 2 -2, 65.8, 1.420, 7.4

```
data_LiMnCo3O8
_cell_length_a 9.8438
_cell_length_b 5.6700
_cell_length_c 5.9791
_cell_angle_alpha 90.00
_cell_angle_beta 123.17
_cell_angle_gamma 90.00
_space_group_name_H-M_alt 'C 1 2/m 1'
_space_group_IT_number 12
loop_
_space_group_symop_operation_xyz
'x,y,z'
'-x,-y,-z'
'-x,y,-z'
'x,-y,z'
'x+1/2,y+1/2,z'
'-x+1/2,-y+1/2,-z'
'-x+1/2,y+1/2,-z'
'x+1/2,-y+1/2,z'
loop_
_atom_site_label
_atom_site_type_symbol
_atom_site_fract_x
_atom_site_fract_y
_atom_site_fract_z
Li1 Li 0.0000 0.0000 0.0000
Mn1 Mn 0.0000 0.5000 0.5000
Co1 Co 0.0000 0.0000 0.5000
Co2 Co 0.2500 0.2500 0.5000
O1 O 0.0207 0.2475 0.3028
O2 O 0.2309 0.0000 0.6867
O3 O 0.2358 0.5000 0.6991
```